Cs3Np2MnSe6: calculated powder XRD pattern (Cu Kα), based on a PBE-relaxed structure.
Intensities are scaled so that the largest is 100.

The 8 most intense peaks (2θ from 10° to 90°), most intense first:
- 2θ 28.24, d = 3.161 Å, intensity 100
- 2θ 42.72, d = 2.116 Å, intensity 36
- 2θ 37.87, d = 2.376 Å, intensity 32
- 2θ 10.63, d = 8.319 Å, intensity 19
- 2θ 52.00, d = 1.759 Å, intensity 18
- 2θ 69.49, d = 1.353 Å, intensity 15
- 2θ 25.32, d = 3.517 Å, intensity 15
- 2θ 21.36, d = 4.159 Å, intensity 14

Cell and atoms:
```
Cs3Np2MnSe6
1.0
3.6661 -6.3489 0.0000
3.6661 6.3489 0.0000
-2.4421 0.0000 8.3188
Cs Np Mn Se
3 2 1 6
Cartesian
0.0000 0.0000 0.0000 Cs
3.6661 2.1094 0.0000 Cs
3.6661 -2.1094 0.0000 Cs
2.4451 4.2317 4.1594 Np
2.4451 -4.2317 4.1594 Np
2.4451 0.0000 4.1594 Mn
1.2500 2.0693 2.6612 Se
0.0562 0.0000 5.6554 Se
1.2500 -2.0693 2.6612 Se
3.6402 2.0693 5.6576 Se
4.8340 0.0000 2.6634 Se
3.6402 -2.0693 5.6576 Se
```



Th6Co2C3N: calculated powder XRD pattern (Cu Kα), based on a PBE-relaxed structure.
Intensities are scaled so that the largest is 100.

The 8 most intense peaks (2θ from 10° to 90°), most intense first:
- 2θ 33.49, d = 2.676 Å, intensity 100
- 2θ 28.98, d = 3.081 Å, intensity 94
- 2θ 29.69, d = 3.009 Å, intensity 49
- 2θ 33.14, d = 2.703 Å, intensity 47
- 2θ 27.51, d = 3.243 Å, intensity 44
- 2θ 46.41, d = 1.957 Å, intensity 32
- 2θ 49.22, d = 1.851 Å, intensity 31
- 2θ 57.95, d = 1.591 Å, intensity 31

Cell and atoms:
```
Th6Co2C3N
1.0
8.5045 -1.8749 0.0000
8.5045 1.8749 0.0000
-2.3054 0.0000 7.3068
Th Co C N
6 2 3 1
Cartesian
-0.5091 0.0000 1.7541 Th
3.5121 0.0000 6.6089 Th
5.0292 0.0000 2.8375 Th
9.6743 0.0000 4.4693 Th
11.1914 0.0000 0.6979 Th
15.2127 0.0000 5.5527 Th
2.3568 0.0000 2.8771 Co
12.3467 0.0000 4.4297 Co
0.6497 0.0000 6.2415 C
7.3518 0.0000 3.6534 C
14.0539 0.0000 1.0654 C
8.5045 0.0000 0.0000 N
```